CrTeN: computed powder XRD pattern (Cu Ka), based on a structure optimized by DFT (GGA-PBE).
Intensities are scaled so that the largest is 100.

Largest 10 diffraction maxima, in order of rising 2θ, 15 to 90 degrees two-theta:
hkl, Position (°2θ), intensity
0 0 2, 18.6, 37
1 0 1, 28.4, 69
1 0 2, 32.8, 100
1 1 0, 38.2, 59
1 0 3, 39.1, 65
1 1 2, 42.8, 33
2 0 0, 55.1, 26
1 1 5, 62.6, 34
2 1 2, 65.6, 24
2 1 3, 69.6, 22

Structure:
abc: 3.3335 3.3335 9.5594
angles: 90.00 90.00 90.00
Space group P4/nmm (No. 129, origin choice 2)
One atom of each set of equivalent atoms:
Cr: 0.2500 0.2500 0.1062 x2
Te: 0.2500 0.2500 0.7024 x2
N: 0.2500 0.7500 0.0000 x2